(1)
Structure and calculated powder diffractogram of Zn2SiNi8 (a structure optimized by DFT (GGA-PBE); copper Kα).
Lines closer than 0.1° are merged.

```
Zn2SiNi8
1.0
3.138 -5.684 0.000
3.138 5.684 0.000
-1.916 0.000 3.696
Zn Si Ni
2 1 8
Direct
0.198 0.802 0.000 Zn
0.802 0.198 0.000 Zn
0.500 0.500 0.500 Si
0.108 0.108 0.309 Ni
0.181 0.394 0.864 Ni
0.304 0.696 0.500 Ni
0.394 0.181 0.864 Ni
0.606 0.819 0.136 Ni
0.696 0.304 0.500 Ni
0.819 0.606 0.136 Ni
0.892 0.892 0.691 Ni
```

Top 10 peaks for 2θ = 10–90°, in order of rising 2θ:
35.90 deg, I = 29; 40.02 deg, I = 22; 42.37 deg, I = 56; 44.06 deg, I = 79; 44.69 deg, I = 60; 45.60 deg, I = 34; 45.74 deg, I = 100; 47.58 deg, I = 19; 49.18 deg, I = 18; 52.03 deg, I = 18


(2)
Structure and calculated powder diffractogram of SrAl3Br12 (a structure optimized by DFT (GGA-PBE); copper Kα).
Lines closer than 0.1° are merged.

```
SrAl3Br12
1.0
5.908 3.411 11.614
-5.908 3.411 11.614
0.000 -6.822 11.614
Sr Al Br
2 6 24
Direct
0.000 0.000 0.000 Sr
0.500 0.500 0.500 Sr
0.114 0.334 0.711 Al
0.211 0.834 0.614 Al
0.334 0.711 0.114 Al
0.614 0.211 0.834 Al
0.711 0.114 0.334 Al
0.834 0.614 0.211 Al
0.011 0.547 0.576 Br
0.047 0.511 0.076 Br
0.076 0.047 0.511 Br
0.161 0.161 0.670 Br
0.161 0.670 0.161 Br
0.170 0.661 0.661 Br
0.182 0.807 0.818 Br
0.289 0.941 0.969 Br
0.307 0.682 0.318 Br
0.318 0.307 0.682 Br
0.441 0.789 0.469 Br
0.469 0.441 0.789 Br
0.511 0.076 0.047 Br
0.547 0.576 0.011 Br
0.576 0.011 0.547 Br
0.661 0.170 0.661 Br
0.661 0.661 0.170 Br
0.670 0.161 0.161 Br
0.682 0.318 0.307 Br
0.789 0.469 0.441 Br
0.807 0.818 0.182 Br
0.818 0.182 0.807 Br
0.941 0.969 0.289 Br
0.969 0.289 0.941 Br
```

Top 10 peaks for 2θ = 10–90°, in order of rising 2θ:
10.03 deg, I = 100; 15.26 deg, I = 21; 26.13 deg, I = 58; 26.88 deg, I = 77; 30.26 deg, I = 44; 30.39 deg, I = 41; 30.92 deg, I = 59; 31.95 deg, I = 17; 34.06 deg, I = 17; 53.69 deg, I = 22


(3)
Structure and calculated powder diffractogram of Sm2Er3Cd (a structure optimized by DFT (GGA-PBE); copper Kα).
Lines closer than 0.1° are merged.

```
Sm2Er3Cd
1.0
3.408 0.000 0.000
0.000 17.114 0.000
0.000 0.000 6.514
Sm Er Cd
4 6 2
Direct
0.000 0.192 0.000 Sm
0.000 0.808 0.000 Sm
0.500 0.308 0.500 Sm
0.500 0.692 0.500 Sm
0.000 0.131 0.494 Er
0.000 0.500 0.687 Er
0.000 0.869 0.494 Er
0.500 0.000 0.187 Er
0.500 0.369 0.994 Er
0.500 0.631 0.994 Er
0.000 0.000 0.795 Cd
0.500 0.500 0.295 Cd
```

Top 10 peaks for 2θ = 10–90°, in order of rising 2θ:
29.34 deg, I = 67; 29.48 deg, I = 99; 30.55 deg, I = 92; 31.39 deg, I = 100; 34.61 deg, I = 52; 36.42 deg, I = 64; 38.60 deg, I = 48; 41.49 deg, I = 68; 52.42 deg, I = 58; 65.59 deg, I = 36


(4)
Structure and calculated powder diffractogram of CrAsOs2 (a structure optimized by DFT (GGA-PBE); copper Kα).
Lines closer than 0.1° are merged.

```
CrAsOs2
1.0
2.796 0.000 0.000
0.000 3.997 0.000
-1.255 0.000 5.097
Cr As Os
1 1 2
Direct
0.000 0.000 0.000 Cr
0.000 0.000 0.500 As
0.371 0.500 0.747 Os
0.629 0.500 0.253 Os
```

Top 10 peaks for 2θ = 10–90°, in order of rising 2θ:
22.24 deg, I = 58; 33.49 deg, I = 31; 35.22 deg, I = 19; 40.16 deg, I = 67; 40.57 deg, I = 25; 42.05 deg, I = 100; 42.46 deg, I = 30; 45.39 deg, I = 40; 47.36 deg, I = 26; 63.89 deg, I = 18


(5)
Structure and calculated powder diffractogram of Y5Er2 (a structure optimized by DFT (GGA-PBE); copper Kα).
Lines closer than 0.1° are merged.

```
Y5Er2
1.0
15.447 0.000 0.000
0.000 3.556 0.000
-3.241 0.000 8.069
Y Er
10 4
Direct
0.000 0.000 0.000 Y
0.070 0.500 0.712 Y
0.214 0.500 0.144 Y
0.286 0.000 0.856 Y
0.430 0.000 0.288 Y
0.500 0.500 0.000 Y
0.570 0.000 0.712 Y
0.714 0.000 0.144 Y
0.786 0.500 0.856 Y
0.930 0.500 0.288 Y
0.144 0.000 0.429 Er
0.356 0.500 0.571 Er
0.644 0.500 0.429 Er
0.856 0.000 0.571 Er
```

Top 10 peaks for 2θ = 10–90°, in order of rising 2θ:
10.96 deg, I = 8; 30.84 deg, I = 100; 35.72 deg, I = 34; 35.84 deg, I = 17; 51.41 deg, I = 12; 51.50 deg, I = 23; 61.16 deg, I = 28; 61.32 deg, I = 14; 84.05 deg, I = 11; 86.65 deg, I = 8


(6)
Structure and calculated powder diffractogram of Sn2SbTe (a structure optimized by DFT (GGA-PBE); copper Kα).
Lines closer than 0.1° are merged.

```
Sn2SbTe
1.0
6.216 0.000 0.000
0.000 6.216 0.000
0.000 0.000 12.906
Sn Sb Te
8 4 4
Direct
0.000 0.249 0.114 Sn
0.000 0.250 0.637 Sn
0.000 0.750 0.363 Sn
0.000 0.751 0.886 Sn
0.500 0.249 0.386 Sn
0.500 0.250 0.863 Sn
0.500 0.750 0.137 Sn
0.500 0.751 0.614 Sn
0.000 0.251 0.875 Sb
0.000 0.749 0.125 Sb
0.500 0.251 0.625 Sb
0.500 0.749 0.375 Sb
0.000 0.249 0.375 Te
0.000 0.751 0.625 Te
0.500 0.249 0.125 Te
0.500 0.751 0.875 Te
```

Top 10 peaks for 2θ = 10–90°, in order of rising 2θ:
27.65 deg, I = 53; 28.72 deg, I = 100; 40.29 deg, I = 78; 41.07 deg, I = 38; 50.23 deg, I = 41; 59.48 deg, I = 13; 65.15 deg, I = 17; 66.82 deg, I = 18; 67.37 deg, I = 18; 74.30 deg, I = 26


(7)
Structure and calculated powder diffractogram of GdTi5 (a structure optimized by DFT (GGA-PBE); copper Kα).
Lines closer than 0.1° are merged.

```
GdTi5
1.0
4.175 0.000 0.000
0.000 13.017 0.000
0.000 0.000 4.224
Gd Ti
2 10
Direct
0.000 0.000 0.000 Gd
0.500 0.500 0.000 Gd
0.000 0.175 0.500 Ti
0.000 0.323 0.000 Ti
0.000 0.500 0.500 Ti
0.000 0.677 0.000 Ti
0.000 0.825 0.500 Ti
0.500 0.000 0.500 Ti
0.500 0.177 0.000 Ti
0.500 0.325 0.500 Ti
0.500 0.675 0.500 Ti
0.500 0.823 0.000 Ti
```

Top 10 peaks for 2θ = 10–90°, in order of rising 2θ:
13.61 deg, I = 13; 22.36 deg, I = 13; 30.89 deg, I = 14; 36.67 deg, I = 100; 41.63 deg, I = 16; 42.82 deg, I = 16; 43.34 deg, I = 15; 72.72 deg, I = 12; 74.39 deg, I = 11; 75.14 deg, I = 11


(8)
Structure and calculated powder diffractogram of CaTh2Pd7 (a structure optimized by DFT (GGA-PBE); copper Kα).
Lines closer than 0.1° are merged.

```
CaTh2Pd7
1.0
0.000 4.286 8.587
2.886 0.000 8.587
2.886 4.286 0.000
Ca Th Pd
1 2 7
Direct
0.000 0.000 0.000 Ca
0.333 0.333 0.667 Th
0.667 0.667 0.333 Th
0.084 0.084 0.416 Pd
0.250 0.250 0.250 Pd
0.416 0.416 0.084 Pd
0.500 0.500 0.500 Pd
0.584 0.584 0.916 Pd
0.750 0.750 0.750 Pd
0.916 0.916 0.584 Pd
```

Top 10 peaks for 2θ = 10–90°, in order of rising 2θ:
19.25 deg, I = 57; 24.23 deg, I = 57; 37.57 deg, I = 100; 37.79 deg, I = 98; 38.51 deg, I = 17; 42.17 deg, I = 36; 44.59 deg, I = 61; 63.04 deg, I = 44; 77.33 deg, I = 24; 77.75 deg, I = 24


(9)
Structure and calculated powder diffractogram of Ti5NbIn2 (a structure optimized by DFT (GGA-PBE); copper Kα).
Lines closer than 0.1° are merged.

```
Ti5NbIn2
1.0
4.753 0.000 0.000
0.000 4.753 0.000
0.000 0.000 13.018
Ti Nb In
10 2 4
Direct
0.000 0.000 0.000 Ti
0.000 0.500 0.114 Ti
0.000 0.500 0.386 Ti
0.000 0.500 0.614 Ti
0.000 0.500 0.886 Ti
0.500 0.000 0.114 Ti
0.500 0.000 0.386 Ti
0.500 0.000 0.614 Ti
0.500 0.000 0.886 Ti
0.500 0.500 0.500 Ti
0.000 0.000 0.500 Nb
0.500 0.500 0.000 Nb
0.000 0.000 0.249 In
0.000 0.000 0.751 In
0.500 0.500 0.251 In
0.500 0.500 0.749 In
```

Top 10 peaks for 2θ = 10–90°, in order of rising 2θ:
26.52 deg, I = 15; 27.40 deg, I = 7; 29.92 deg, I = 9; 37.86 deg, I = 54; 38.51 deg, I = 100; 54.62 deg, I = 18; 56.56 deg, I = 8; 68.80 deg, I = 33; 70.08 deg, I = 14; 82.52 deg, I = 9


(10)
Structure and calculated powder diffractogram of Ac12InSi6 (a structure optimized by DFT (GGA-PBE); copper Kα).
Lines closer than 0.1° are merged.

```
Ac12InSi6
1.0
-5.491 5.491 5.491
5.491 -5.491 5.491
5.491 5.491 -5.491
Ac In Si
12 1 6
Direct
0.112 0.300 0.812 Ac
0.188 0.488 0.300 Ac
0.188 0.888 0.700 Ac
0.300 0.188 0.488 Ac
0.300 0.812 0.112 Ac
0.488 0.300 0.188 Ac
0.512 0.700 0.812 Ac
0.700 0.188 0.888 Ac
0.700 0.812 0.512 Ac
0.812 0.112 0.300 Ac
0.812 0.512 0.700 Ac
0.888 0.700 0.188 Ac
0.000 0.000 0.000 In
0.109 0.500 0.609 Si
0.391 0.891 0.500 Si
0.500 0.391 0.891 Si
0.500 0.609 0.109 Si
0.609 0.109 0.500 Si
0.891 0.500 0.391 Si
```

Top 10 peaks for 2θ = 10–90°, in order of rising 2θ:
22.90 deg, I = 21; 25.65 deg, I = 83; 28.15 deg, I = 60; 30.45 deg, I = 100; 32.61 deg, I = 20; 48.32 deg, I = 59; 51.28 deg, I = 52; 59.52 deg, I = 24; 73.12 deg, I = 19; 74.29 deg, I = 22


(11)
Structure and calculated powder diffractogram of Li2IrO3 (a structure optimized by DFT (GGA-PBE); copper Kα).
Lines closer than 0.1° are merged.

```
Li2IrO3
1.0
2.610 -4.399 0.000
2.610 4.399 0.000
-1.981 0.000 4.897
Li Ir O
4 2 6
Direct
0.083 0.917 0.750 Li
0.246 0.754 0.250 Li
0.754 0.246 0.750 Li
0.917 0.083 0.250 Li
0.411 0.589 0.750 Ir
0.589 0.411 0.250 Ir
0.000 0.500 0.500 O
0.199 0.350 0.997 O
0.350 0.199 0.497 O
0.500 0.000 0.000 O
0.650 0.801 0.503 O
0.801 0.650 0.003 O
```

Top 10 peaks for 2θ = 10–90°, in order of rising 2θ:
20.19 deg, I = 14; 20.95 deg, I = 100; 22.79 deg, I = 32; 27.25 deg, I = 57; 35.82 deg, I = 23; 36.96 deg, I = 21; 40.43 deg, I = 18; 41.48 deg, I = 20; 43.63 deg, I = 35; 61.46 deg, I = 13


(12)
Structure and calculated powder diffractogram of TbThCu10 (a structure optimized by DFT (GGA-PBE); copper Kα).
Lines closer than 0.1° are merged.

```
TbThCu10
1.0
4.109 0.000 0.000
0.000 5.115 0.000
0.000 0.000 8.757
Tb Th Cu
1 1 10
Direct
0.000 0.000 0.000 Tb
0.000 0.500 0.500 Th
0.000 0.000 0.329 Cu
0.000 0.000 0.671 Cu
0.000 0.500 0.162 Cu
0.000 0.500 0.838 Cu
0.500 0.000 0.500 Cu
0.500 0.250 0.249 Cu
0.500 0.250 0.751 Cu
0.500 0.500 0.000 Cu
0.500 0.750 0.249 Cu
0.500 0.750 0.751 Cu
```

Top 10 peaks for 2θ = 10–90°, in order of rising 2θ:
29.70 deg, I = 58; 29.82 deg, I = 29; 35.41 deg, I = 34; 40.86 deg, I = 37; 41.24 deg, I = 18; 41.59 deg, I = 51; 41.87 deg, I = 100; 44.08 deg, I = 39; 61.66 deg, I = 21; 67.59 deg, I = 23


(13)
Structure and calculated powder diffractogram of Y7Ho2Mg2 (a structure optimized by DFT (GGA-PBE); copper Kα).
Lines closer than 0.1° are merged.

```
Y7Ho2Mg2
1.0
3.712 0.000 0.000
-1.855 6.368 0.000
-1.856 -2.275 14.242
Y Ho Mg
7 2 2
Direct
0.000 0.000 0.000 Y
0.152 0.782 0.522 Y
0.350 0.598 0.101 Y
0.415 0.496 0.332 Y
0.585 0.504 0.668 Y
0.650 0.402 0.899 Y
0.848 0.218 0.478 Y
0.105 0.929 0.281 Ho
0.895 0.071 0.719 Ho
0.302 0.775 0.831 Mg
0.698 0.225 0.169 Mg
```

Top 10 peaks for 2θ = 10–90°, in order of rising 2θ:
27.14 deg, I = 13; 30.75 deg, I = 22; 31.41 deg, I = 10; 31.55 deg, I = 28; 32.69 deg, I = 100; 32.90 deg, I = 9; 49.09 deg, I = 9; 55.90 deg, I = 10; 56.91 deg, I = 17; 59.51 deg, I = 12